Theoretical powder XRD pattern of SrCuO2 for Cu Kα, from a structure optimized by DFT (GGA-PBE).
Kinematic intensities with the Lorentz-polarization factor, no thermal factor.

a b c (Å): 4.251 4.421 6.555
angles (deg): 90.00 95.01 90.00
Fractional positions:
Sr1 0.000 0.000 0.000
Cu1 0.348 0.000 0.580
O1 0.163 0.000 0.337
O2 0.484 0.000 0.843

Principal peaks in the range 2θ = 10–90°, in order of rising 2θ:
- 20.1 deg, rel. 100.0, hkl 0 1 0
- 24.0 deg, rel. 31.6, hkl 1 0 -1
- 26.1 deg, rel. 22.1, hkl 1 0 1
- 31.5 deg, rel. 31.2, hkl 1 1 -1
- 33.1 deg, rel. 34.0, hkl 1 1 1
- 48.6 deg, rel. 22.8, hkl 1 0 3